# 1
This entry pairs a crystal structure of PmPr8Dy5 with its calculated X-ray powder pattern. Radiation: copper Kα. Structure: a crystal structure in Alexandria, relaxed with GGA-PBE.
Lines closer than 0.1° are merged.

Cell lengths 8.641, 8.641, 8.641 Å; angles 111.40, 111.40, 105.67 degrees
Fractional coordinates of all 14 atoms:
Pm  0.000  0.000  0.000
Pr  0.091  0.683  0.768
Pr  0.279  0.522  0.104
Pr  0.317  0.085  0.408
Pr  0.418  0.175  0.896
Pr  0.478  0.582  0.758
Pr  0.677  0.909  0.592
Pr  0.825  0.721  0.242
Pr  0.915  0.323  0.232
Dy  0.026  0.215  0.595
Dy  0.250  0.750  0.500
Dy  0.569  0.974  0.188
Dy  0.619  0.431  0.405
Dy  0.785  0.381  0.812

Main lines, low angle first (5 to 70 degrees two-theta):
two_theta, d [Å], I (rel.)
27.21, 3.277, 57
28.80, 3.100, 67
28.99, 3.080, 75
31.12, 2.874, 25
32.95, 2.719, 100
33.79, 2.652, 41
34.29, 2.615, 49
41.47, 2.178, 15
53.95, 1.700, 21
54.92, 1.672, 18
60.07, 1.540, 21
61.18, 1.515, 22

***

# 2
This entry pairs a crystal structure of DyTmSbTe with its calculated X-ray powder pattern. Radiation: copper Kα. Structure: a crystal structure in Alexandria, relaxed with GGA-PBE.
Lines closer than 0.1° are merged.

Cell lengths 4.262, 4.262, 22.444 Å; angles 90.00, 90.00, 120.00 degrees
Fractional coordinates of all 12 atoms:
Dy  0.000  0.000  0.000
Dy  0.333  0.667  0.667
Dy  0.667  0.333  0.333
Tm  0.000  0.000  0.822
Tm  0.333  0.667  0.489
Tm  0.667  0.333  0.155
Sb  0.000  0.000  0.414
Sb  0.333  0.667  0.081
Sb  0.667  0.333  0.747
Te  0.000  0.000  0.242
Te  0.333  0.667  0.909
Te  0.667  0.333  0.576

Main lines, low angle first (5 to 70 degrees two-theta):
two_theta, d [Å], I (rel.)
24.44, 3.642, 14
25.40, 3.506, 34
28.96, 3.084, 15
31.38, 2.851, 100
37.14, 2.421, 43
42.42, 2.131, 55
47.41, 1.918, 15
48.69, 1.870, 11
53.70, 1.707, 22
57.63, 1.599, 12
65.48, 1.425, 6
66.52, 1.406, 25